Record 1
Diffraction record for MnHgTe. The XRD peak list is computed, not measured: it uses a PBE-relaxed structure and Cu Kα (weighted mean of Kα1 and Kα2).

Main lines, by angle (10 to 80 degrees two-theta):
2θ 17.70, rel. 100; 2θ 26.69, rel. 73; 2θ 31.72, rel. 59; 2θ 32.92, rel. 72; 2θ 36.52, rel. 94; 2θ 41.64, rel. 46; 2θ 46.30, rel. 49; 2θ 46.48, rel. 52

Crystal structure
abc: 3.992 3.992 10.374
angles: 100.54 100.54 90.09
Atoms (fractional coordinates):
Mn  0.250  0.750  0.000
Mn  0.750  0.250  0.000
Hg  0.250  0.750  0.500
Hg  0.750  0.250  0.500
Te  0.170  0.170  0.832
Te  0.830  0.830  0.168



Record 2
Diffraction record for Th2Co17. The XRD peak list is computed, not measured: it uses a PBE-relaxed structure and Cu Kα (weighted mean of Kα1 and Kα2).

Main lines, by angle (10 to 80 degrees two-theta):
2θ 30.70, rel. 62; 2θ 37.22, rel. 46; 2θ 38.65, rel. 35; 2θ 43.24, rel. 66; 2θ 43.61, rel. 100; 2θ 44.51, rel. 23; 2θ 44.70, rel. 29; 2θ 63.09, rel. 26

Crystal structure
abc: 6.308 6.308 6.308
angles: 83.12 83.12 83.12
Atoms (fractional coordinates):
Th  0.157  0.157  0.157
Th  0.843  0.843  0.843
Co  0.000  0.500  0.500
Co  0.155  0.155  0.648
Co  0.155  0.648  0.155
Co  0.215  0.500  0.785
Co  0.215  0.785  0.500
Co  0.352  0.845  0.845
Co  0.403  0.403  0.403
Co  0.500  0.000  0.500
Co  0.500  0.215  0.785
Co  0.500  0.500  0.000
Co  0.500  0.785  0.215
Co  0.597  0.597  0.597
Co  0.648  0.155  0.155
Co  0.785  0.215  0.500
Co  0.785  0.500  0.215
Co  0.845  0.352  0.845
Co  0.845  0.845  0.352